Diffraction record for LaTiAlPbO6. The powder XRD pattern is simulated, not measured: it uses a cell relaxed with PBE and Cu Kα (weighted mean of Kα1 and Kα2).
Peak positions follow from Bragg's law for the DFT cell and can differ from measured ones.

Lattice parameters (Å, degrees): 5.4902 3.9002 22.0630 90.00 90.00 90.00
Space group Pmma (No. 51)
Asymmetric unit:
La1 0.2500 0.0000 0.0605 x2
La2 0.2500 0.0000 0.8197 x2
Ti1 0.2500 0.5000 0.4338 x2
Ti2 0.2500 0.5000 0.6936 x2
Al1 0.2500 0.5000 0.1810 x2
Al2 0.2500 0.5000 0.9398 x2
Pb1 0.2500 0.0000 0.3026 x2
Pb2 0.2500 0.0000 0.5610 x2
O1 0.0000 0.5000 0.0000 x2
O2 0.0000 0.5000 0.5000 x2
O3 0.0016 0.5000 0.6292 x4
O4 0.0025 0.5000 0.7588 x4
O5 0.0016 0.5000 0.8790 x4
O6 0.2500 0.0000 0.1787 x2
O7 0.2500 0.0000 0.4366 x2
O8 0.2500 0.0000 0.6989 x2
O9 0.2500 0.0000 0.9395 x2

Top 10 peaks for 15° ≤ 2θ ≤ 90°, by angle:
| 2theta | I/Imax |
| --- | --- |
| 22.84 | 52 |
| 32.50 | 100 |
| 32.62 | 21 |
| 40.04 | 19 |
| 40.17 | 21 |
| 46.69 | 24 |
| 52.52 | 20 |
| 57.95 | 29 |
| 58.14 | 16 |
| 68.06 | 17 |